1.
Computed X-ray powder pattern
Compound: Y2US3O2
Radiation: CuKα
Structure: a GGA-PBE-relaxed structure
Neutral-atom scattering factors, no anomalous dispersion.

Top 12 peaks for 5 to 70 degrees two-theta, sorted by position:
2θ (°), intensity, (hkl)
8.3, 1000, 0 0 2
16.7, 259, 0 0 4
23.6, 233, 1 0 1
25.1, 328, 0 0 6
26.5, 977, 1 0 3
31.5, 586, 1 0 5
33.1, 703, 1 1 0
37.8, 376, 1 0 7
42.0, 467, 1 1 6
47.5, 321, 2 0 0
54.9, 232, 1 1 10
55.2, 276, 2 1 3

Crystal structure
Lattice parameters (Å, degrees): 3.8269 3.8269 21.2523 90.00 90.00 90.00
Space group I4mm (No. 107)
One atom of each set of equivalent atoms:
Y  0.0000  0.0000  0.0000 x2
Y  0.0000  0.0000  0.3142 x2
U  0.0000  0.0000  0.6932 x2
S  0.0000  0.0000  0.1302 x2
S  0.0000  0.0000  0.5021 x2
S  0.0000  0.0000  0.8710 x2
O  0.0000  0.5000  0.2489 x4



2.
Computed X-ray powder pattern
Compound: Eu2Si2O7
Radiation: CuKα
Structure: a GGA-PBE-relaxed structure
Neutral-atom scattering factors, no anomalous dispersion.

Top 12 peaks for 5 to 70 degrees two-theta, sorted by position:
2θ (°), intensity, (hkl)
19.0, 197, 1 1 0
21.9, 246, 1 1 1
25.4, 186, 1 1 -3
26.6, 330, 1 1 2
27.1, 1000, 0 2 1
29.2, 429, 0 0 4
29.7, 239, 2 1 -1
30.2, 315, 2 1 -2
31.0, 225, 1 1 -4
32.4, 278, 1 1 3
42.6, 170, 3 0 0
45.6, 232, 0 2 5

Crystal structure
Lattice parameters (Å, degrees): 6.7205 6.8320 12.9275 90.00 108.60 90.00
Space group P2_1/c (No. 14)
One atom of each set of equivalent atoms:
Eu  0.0318  0.1049  0.3627 x4
Eu  0.3436  0.1699  0.1527 x4
Si  0.2094  0.5824  0.3913 x4
Si  0.3955  0.6707  0.0860 x4
O  0.0041  0.7217  0.3339 x4
O  0.1598  0.1029  0.9580 x4
O  0.2268  0.0123  0.5511 x4
O  0.2940  0.6759  0.6529 x4
O  0.2986  0.5151  0.2925 x4
O  0.3741  0.0934  0.3411 x4
O  0.4030  0.7185  0.4723 x4



3.
Computed X-ray powder pattern
Compound: HoBi2C
Radiation: CuKα
Structure: a GGA-PBE-relaxed structure
Neutral-atom scattering factors, no anomalous dispersion.

Top 12 peaks for 5 to 70 degrees two-theta, sorted by position:
2θ (°), intensity, (hkl)
24.9, 138, 0 0 2
29.1, 1000, 3 1 1
30.1, 392, 2 0 2
33.4, 125, 4 0 0
34.5, 464, 2 2 2
37.5, 403, 4 2 0
46.6, 290, 3 1 3
51.1, 140, 0 0 4
51.3, 199, 5 3 1
54.8, 149, 4 4 2
57.6, 271, 6 0 2
65.1, 163, 4 2 4

Crystal structure
Lattice parameters (Å, degrees): 10.7294 10.7294 7.1455 90.00 90.00 90.00
Space group P4_2/mbc (No. 135)
One atom of each set of equivalent atoms:
Ho  0.2453  0.2547  0.2500 x8
Bi  0.0028  0.8287  0.0000 x8
Bi  0.0072  0.6572  0.5000 x8
C  0.0023  0.8651  0.5000 x8



4.
Computed X-ray powder pattern
Compound: BaPd2O4
Radiation: CuKα
Structure: a GGA-PBE-relaxed structure
Neutral-atom scattering factors, no anomalous dispersion.

Top 12 peaks for 5 to 70 degrees two-theta, sorted by position:
2θ (°), intensity, (hkl)
26.1, 323, 1 1 2
29.2, 481, 1 0 3
32.5, 1000, 2 1 1
32.9, 450, 2 0 2
45.7, 193, 1 0 5
48.4, 141, 1 3 2
50.3, 167, 3 0 3
52.5, 205, 3 2 1
53.7, 331, 2 2 4
57.8, 129, 4 0 0
60.5, 103, 2 0 6
68.2, 133, 2 4 2

Crystal structure
Lattice parameters (Å, degrees): 6.3771 6.3771 10.4569 90.00 90.00 90.00
Space group I4_1/a (No. 88, origin choice 2)
One atom of each set of equivalent atoms:
Ba  0.0000  0.2500  0.1250 x4
Pd  0.0000  0.0000  0.5000 x8
O  0.1486  0.0134  0.3319 x16



5.
Computed X-ray powder pattern
Compound: InCuO2
Radiation: CuKα
Structure: a GGA-PBE-relaxed structure
Neutral-atom scattering factors, no anomalous dispersion.

Top 12 peaks for 5 to 70 degrees two-theta, sorted by position:
2θ (°), intensity, (hkl)
15.2, 218, 0 0 3
30.7, 273, 0 0 6
32.4, 1000, 0 1 2
37.1, 451, 1 0 4
40.3, 90, 0 1 5
52.3, 268, 0 1 8
54.5, 263, 1 1 0
57.0, 37, 1 1 3
61.8, 171, 1 0 10
63.9, 235, 0 0 12
64.9, 122, 2 0 2
67.8, 77, 0 2 4

Crystal structure
Lattice parameters (Å, degrees): 3.3650 3.3650 17.4981 90.00 90.00 120.00
Space group R-3m (No. 166, hexagonal axes)
One atom of each set of equivalent atoms:
In  0.0000  0.0000  0.0000 x3
Cu  0.0000  0.0000  0.5000 x3
O  0.0000  0.0000  0.3941 x6



6.
Computed X-ray powder pattern
Compound: ScGaO3
Radiation: CuKα
Structure: a GGA-PBE-relaxed structure
Neutral-atom scattering factors, no anomalous dispersion.

Top 12 peaks for 5 to 70 degrees two-theta, sorted by position:
2θ (°), intensity, (hkl)
15.3, 114, 0 0 2
30.9, 367, 0 0 4
31.9, 1000, 1 1 1
34.6, 419, 1 1 2
38.9, 128, 1 1 3
47.1, 57, 0 0 6
50.5, 252, 1 1 5
54.9, 409, 3 0 0
57.4, 200, 1 1 6
64.4, 275, 3 0 4
64.9, 219, 1 1 7
66.6, 67, 2 2 2

Crystal structure
Lattice parameters (Å, degrees): 5.7901 5.7901 11.5708 90.00 90.00 120.00
Space group P6_3cm (No. 185)
One atom of each set of equivalent atoms:
Sc  0.0000  0.0000  0.0000 x2
Sc  0.3333  0.6667  0.4611 x4
Ga  0.0000  0.3341  0.2273 x6
O  0.0000  0.0000  0.1987 x2
O  0.0000  0.3038  0.3952 x6
O  0.0000  0.3642  0.0622 x6
O  0.3333  0.6667  0.2523 x4



7.
Computed X-ray powder pattern
Compound: Ca3In2N4
Radiation: CuKα
Structure: a GGA-PBE-relaxed structure
Neutral-atom scattering factors, no anomalous dispersion.

Top 12 peaks for 5 to 70 degrees two-theta, sorted by position:
2θ (°), intensity, (hkl)
16.1, 415, 2 0 0
19.7, 378, 1 1 1
25.2, 139, 0 2 1
30.0, 1000, 2 2 -1
30.4, 548, 3 1 1
32.6, 582, 1 1 2
41.2, 323, 0 4 0
42.3, 288, 5 1 0
42.4, 300, 3 3 1
44.0, 235, 1 3 2
44.5, 297, 4 0 -2
62.3, 141, 4 4 -2

Crystal structure
Lattice parameters (Å, degrees): 11.0165 8.7625 6.0070 90.00 90.35 90.00
Space group C2/c (No. 15)
One atom of each set of equivalent atoms:
Ca  0.0000  0.1113  0.2500 x4
Ca  0.1108  0.3673  0.9472 x8
In  0.2012  0.1199  0.6161 x8
N  0.1076  0.3366  0.4935 x8
N  0.1492  0.0954  0.9619 x8



8.
Computed X-ray powder pattern
Compound: CaAl8Fe4
Radiation: CuKα
Structure: a GGA-PBE-relaxed structure
Neutral-atom scattering factors, no anomalous dispersion.

Top 12 peaks for 5 to 70 degrees two-theta, sorted by position:
2θ (°), intensity, (hkl)
20.3, 710, 2 0 0
28.8, 231, 2 2 0
32.3, 48, 3 1 0
35.4, 175, 3 0 1
40.9, 800, 2 0 2
41.2, 1000, 4 0 0
46.1, 702, 2 2 2
46.3, 439, 4 2 0
59.5, 228, 4 2 2
59.7, 118, 4 4 0
67.2, 76, 3 2 3
67.6, 108, 6 2 0

Crystal structure
Lattice parameters (Å, degrees): 8.7647 8.7647 5.0999 90.00 90.00 90.00
Space group I4/mmm (No. 139)
One atom of each set of equivalent atoms:
Ca  0.0000  0.0000  0.0000 x2
Al  0.0000  0.2284  0.5000 x8
Al  0.0000  0.3379  0.0000 x8
Fe  0.2500  0.2500  0.2500 x8